1.
# Pm5Pr5Sm
Simulated X-ray diffraction stick pattern, λ = 1.5418 Å (Cu Kα). Input: a crystal structure in Alexandria, relaxed with PBE.

Cell and atoms:
```
data_Pm5Pr5Sm
_chemical_formula_sum 'Pm5 Pr5 Sm1'
_cell_length_a 6.2887
_cell_length_b 6.2887
_cell_length_c 11.6688
_cell_angle_alpha 90.00
_cell_angle_beta 90.00
_cell_angle_gamma 120.00
_space_group_name_H-M_alt 'P -6 m 2'
_space_group_IT_number 187
_space_group_name_Hall 'P -6 2'
loop_
_atom_site_label
_atom_site_type_symbol
_atom_site_fract_x
_atom_site_fract_y
_atom_site_fract_z
Pm1 Pm 0.0000 0.0000 0.0000
Pm2 Pm 0.3333 0.6667 0.3221
Pm3 Pm 0.6667 0.3333 0.1599
Pr1 Pr 0.0000 0.0000 0.2640
Pr2 Pr 0.3407 0.1704 0.5000
Sm1 Sm 0.3333 0.6667 0.0000
```

Principal peaks in the range 2θ = 10–90°, in order of rising 2θ:
28.19°, rel. 100; 28.38°, rel. 88; 29.42°, rel. 30; 32.34°, rel. 22; 33.80°, rel. 31; 34.89°, rel. 28; 36.41°, rel. 24; 36.75°, rel. 22; 50.14°, rel. 38; 58.73°, rel. 27


2.
# PmPr4Sm3
Simulated X-ray diffraction stick pattern, λ = 1.5418 Å (Cu Kα). Input: a crystal structure in Alexandria, relaxed with PBE.

Cell and atoms:
```
data_PmPr4Sm3
_chemical_formula_sum 'Pm2 Pr8 Sm6'
_cell_length_a 10.411
_cell_length_b 7.340
_cell_length_c 7.342
_cell_angle_alpha 90.00
_cell_angle_beta 90.00
_cell_angle_gamma 90.00
_space_group_name_H-M_alt 'P m n a'
_space_group_IT_number 53
loop_
_space_group_symop_operation_xyz
'x,y,z'
'-x,-y,-z'
'-x+1/2,-y,z+1/2'
'x+1/2,y,-z+1/2'
'x,-y,-z'
'-x,y,z'
'-x+1/2,y,-z+1/2'
'x+1/2,-y,z+1/2'
loop_
_atom_site_label
_atom_site_type_symbol
_atom_site_fract_x
_atom_site_fract_y
_atom_site_fract_z
Pm1 Pm 0.000 0.000 0.000
Pr1 Pr 0.000 0.000 0.500
Pr2 Pr 0.000 0.500 0.000
Pr3 Pr 0.250 0.250 0.250
Sm1 Sm 0.000 0.500 0.500
Sm2 Sm 0.250 0.250 0.750
```

Principal peaks in the range 2θ = 10–90°, in order of rising 2θ:
29.78°, rel. 100; 34.52°, rel. 51; 49.63°, rel. 36; 58.87°, rel. 15; 59.00°, rel. 29; 61.86°, rel. 12; 80.55°, rel. 12; 80.67°, rel. 6; 83.01°, rel. 5; 83.21°, rel. 11


3.
# PmPr6Sm5
Simulated X-ray diffraction stick pattern, λ = 1.5418 Å (Cu Kα). Input: a crystal structure in Alexandria, relaxed with PBE.

Cell and atoms:
```
data_PmPr6Sm5
_chemical_formula_sum 'Pm2 Pr12 Sm10'
_cell_length_a 5.203
_cell_length_b 10.372
_cell_length_c 15.589
_cell_angle_alpha 90.00
_cell_angle_beta 90.00
_cell_angle_gamma 90.00
_space_group_name_H-M_alt 'I m m m'
_space_group_IT_number 71
_space_group_name_Hall '-I 2 2'
loop_
_atom_site_label
_atom_site_type_symbol
_atom_site_fract_x
_atom_site_fract_y
_atom_site_fract_z
Pm1 Pm 0.000 0.000 0.000
Pr1 Pr 0.000 0.250 0.167
Pr2 Pr 0.000 0.250 0.500
Sm1 Sm 0.000 0.000 0.333
Sm2 Sm 0.000 0.500 0.000
Sm3 Sm 0.000 0.500 0.333
```

Principal peaks in the range 2θ = 10–90°, in order of rising 2θ:
29.79°, rel. 100; 34.50°, rel. 34; 34.59°, rel. 17; 49.63°, rel. 36; 58.92°, rel. 29; 59.05°, rel. 14; 61.87°, rel. 12; 80.57°, rel. 12; 80.67°, rel. 6; 83.06°, rel. 8


4.
# PmPr4Sm8
Simulated X-ray diffraction stick pattern, λ = 1.5418 Å (Cu Kα). Input: a crystal structure in Alexandria, relaxed with PBE.

Cell and atoms:
```
data_PmPr4Sm8
_chemical_formula_sum 'Pm3 Pr12 Sm24'
_cell_length_a 11.2076
_cell_length_b 11.2076
_cell_length_c 13.7971
_cell_angle_alpha 90.00
_cell_angle_beta 90.00
_cell_angle_gamma 120.00
_space_group_name_H-M_alt 'R -3 m'
_space_group_IT_number 166
_space_group_name_Hall '-R 3 2"'
loop_
_atom_site_label
_atom_site_type_symbol
_atom_site_fract_x
_atom_site_fract_y
_atom_site_fract_z
Pm1 Pm 0.0000 0.0000 0.0000
Pr1 Pr 0.0000 0.0000 0.5000
Pr2 Pr 0.0000 0.5000 0.5000
Sm1 Sm 0.0000 0.0000 0.2611
Sm2 Sm 0.0159 0.5080 0.2475
```

Principal peaks in the range 2θ = 10–90°, in order of rising 2θ:
19.37°, rel. 23; 22.40°, rel. 15; 31.83°, rel. 100; 31.94°, rel. 99; 45.72°, rel. 36; 56.64°, rel. 19; 56.87°, rel. 54; 66.52°, rel. 11; 75.69°, rel. 15; 75.88°, rel. 15


5.
# PmPr6Sm3
Simulated X-ray diffraction stick pattern, λ = 1.5418 Å (Cu Kα). Input: a crystal structure in Alexandria, relaxed with PBE.

Cell and atoms:
```
data_PmPr6Sm3
_chemical_formula_sum 'Pm3 Pr18 Sm9'
_cell_length_a 10.1389
_cell_length_b 10.1389
_cell_length_c 12.0478
_cell_angle_alpha 90.00
_cell_angle_beta 90.00
_cell_angle_gamma 120.00
_space_group_name_H-M_alt 'R 3'
_space_group_IT_number 146
_space_group_name_Hall 'R 3'
loop_
_atom_site_label
_atom_site_type_symbol
_atom_site_fract_x
_atom_site_fract_y
_atom_site_fract_z
Pm1 Pm 0.0000 0.0000 0.0000
Pr1 Pr 0.9997 0.3266 0.0007
Pr2 Pr 0.9996 0.6732 0.5006
Sm1 Sm 0.0000 0.0000 0.2507
Sm2 Sm 0.0000 0.0000 0.5000
Sm3 Sm 0.0000 0.0000 0.7498
```

Principal peaks in the range 2θ = 10–90°, in order of rising 2θ:
28.35°, rel. 63; 30.54°, rel. 100; 31.40°, rel. 17; 40.44°, rel. 15; 42.16°, rel. 21; 48.04°, rel. 11; 52.95°, rel. 22; 54.29°, rel. 20; 55.50°, rel. 13; 63.58°, rel. 12


6.
# PmPrSm
Simulated X-ray diffraction stick pattern, λ = 1.5418 Å (Cu Kα). Input: a crystal structure in Alexandria, relaxed with PBE.

Cell and atoms:
```
data_PmPrSm
_chemical_formula_sum 'Pm2 Pr2 Sm2'
_cell_length_a 6.388
_cell_length_b 3.683
_cell_length_c 9.169
_cell_angle_alpha 90.00
_cell_angle_beta 103.60
_cell_angle_gamma 90.00
_space_group_name_H-M_alt 'C 1 m 1'
_space_group_IT_number 8
loop_
_space_group_symop_operation_xyz
'x,y,z'
'x,-y,z'
'x+1/2,y+1/2,z'
'x+1/2,-y+1/2,z'
loop_
_atom_site_label
_atom_site_type_symbol
_atom_site_fract_x
_atom_site_fract_y
_atom_site_fract_z
Pm1 Pm 0.000 0.000 0.000
Pr1 Pr 0.060 0.500 0.661
Sm1 Sm 0.279 0.500 0.327
```

Principal peaks in the range 2θ = 10–90°, in order of rising 2θ:
28.16°, rel. 36; 30.08°, rel. 49; 31.05°, rel. 100; 32.68°, rel. 83; 39.02°, rel. 17; 49.46°, rel. 37; 53.01°, rel. 15; 58.89°, rel. 15; 59.03°, rel. 29; 59.56°, rel. 16


7.
# PmPr8Sm2
Simulated X-ray diffraction stick pattern, λ = 1.5418 Å (Cu Kα). Input: a crystal structure in Alexandria, relaxed with PBE.

Cell and atoms:
```
data_PmPr8Sm2
_chemical_formula_sum 'Pm2 Pr16 Sm4'
_cell_length_a 17.149
_cell_length_b 6.898
_cell_length_c 6.826
_cell_angle_alpha 90.00
_cell_angle_beta 100.31
_cell_angle_gamma 90.00
_space_group_name_H-M_alt 'C 1 2/m 1'
_space_group_IT_number 12
loop_
_space_group_symop_operation_xyz
'x,y,z'
'-x,-y,-z'
'-x,y,-z'
'x,-y,z'
'x+1/2,y+1/2,z'
'-x+1/2,-y+1/2,-z'
'-x+1/2,y+1/2,-z'
'x+1/2,-y+1/2,z'
loop_
_atom_site_label
_atom_site_type_symbol
_atom_site_fract_x
_atom_site_fract_y
_atom_site_fract_z
Pm1 Pm 0.000 0.000 0.000
Pr1 Pr 0.087 0.262 0.408
Pr2 Pr 0.093 0.500 0.915
Pr3 Pr 0.244 0.000 0.319
Sm1 Sm 0.198 0.000 0.809
```

Principal peaks in the range 2θ = 10–90°, in order of rising 2θ:
22.79°, rel. 21; 27.95°, rel. 20; 29.12°, rel. 55; 29.47°, rel. 43; 30.35°, rel. 100; 31.29°, rel. 54; 31.84°, rel. 77; 33.56°, rel. 19; 53.13°, rel. 20; 60.94°, rel. 19


8.
# Pm4Pr3Sm
Simulated X-ray diffraction stick pattern, λ = 1.5418 Å (Cu Kα). Input: a crystal structure in Alexandria, relaxed with PBE.

Cell and atoms:
```
data_Pm4Pr3Sm
_chemical_formula_sum 'Pm8 Pr6 Sm2'
_cell_length_a 10.388
_cell_length_b 7.339
_cell_length_c 7.339
_cell_angle_alpha 90.00
_cell_angle_beta 90.00
_cell_angle_gamma 90.00
_space_group_name_H-M_alt 'P m n a'
_space_group_IT_number 53
loop_
_space_group_symop_operation_xyz
'x,y,z'
'-x,-y,-z'
'-x+1/2,-y,z+1/2'
'x+1/2,y,-z+1/2'
'x,-y,-z'
'-x,y,z'
'-x+1/2,y,-z+1/2'
'x+1/2,-y,z+1/2'
loop_
_atom_site_label
_atom_site_type_symbol
_atom_site_fract_x
_atom_site_fract_y
_atom_site_fract_z
Pm1 Pm 0.000 0.000 0.000
Pm2 Pm 0.000 0.500 0.500
Pm3 Pm 0.250 0.249 0.250
Pr1 Pr 0.000 0.500 0.000
Pr2 Pr 0.250 0.249 0.750
Sm1 Sm 0.000 0.000 0.500
```

Principal peaks in the range 2θ = 10–90°, in order of rising 2θ:
29.81°, rel. 100; 34.56°, rel. 51; 49.68°, rel. 36; 59.02°, rel. 43; 61.92°, rel. 12; 72.89°, rel. 6; 80.68°, rel. 18; 83.24°, rel. 16


9.
# Pm2PrSm6
Simulated X-ray diffraction stick pattern, λ = 1.5418 Å (Cu Kα). Input: a crystal structure in Alexandria, relaxed with PBE.

Cell and atoms:
```
data_Pm2PrSm6
_chemical_formula_sum 'Pm4 Pr2 Sm12'
_cell_length_a 9.966
_cell_length_b 17.332
_cell_length_c 3.541
_cell_angle_alpha 90.00
_cell_angle_beta 90.00
_cell_angle_gamma 90.00
_space_group_name_H-M_alt 'C m m m'
_space_group_IT_number 65
_space_group_name_Hall '-C 2 2'
loop_
_atom_site_label
_atom_site_type_symbol
_atom_site_fract_x
_atom_site_fract_y
_atom_site_fract_z
Pm1 Pm 0.000 0.167 0.000
Pr1 Pr 0.000 0.500 0.000
Sm1 Sm 0.166 0.000 0.500
Sm2 Sm 0.167 0.333 0.500
```

Principal peaks in the range 2θ = 10–90°, in order of rising 2θ:
30.96°, rel. 100; 31.05°, rel. 54; 40.34°, rel. 10; 44.40°, rel. 27; 51.62°, rel. 7; 55.06°, rel. 9; 55.17°, rel. 30; 61.46°, rel. 25; 64.74°, rel. 7; 78.89°, rel. 8


10.
# Pm2Pr2Sm3
Simulated X-ray diffraction stick pattern, λ = 1.5418 Å (Cu Kα). Input: a crystal structure in Alexandria, relaxed with PBE.

Cell and atoms:
```
data_Pm2Pr2Sm3
_chemical_formula_sum 'Pm4 Pr4 Sm6'
_cell_length_a 6.552
_cell_length_b 12.674
_cell_length_c 7.099
_cell_angle_alpha 90.00
_cell_angle_beta 122.71
_cell_angle_gamma 90.00
_space_group_name_H-M_alt 'P 1 21/c 1'
_space_group_IT_number 14
loop_
_space_group_symop_operation_xyz
'x,y,z'
'-x,-y,-z'
'-x,y+1/2,-z+1/2'
'x,-y+1/2,z+1/2'
loop_
_atom_site_label
_atom_site_type_symbol
_atom_site_fract_x
_atom_site_fract_y
_atom_site_fract_z
Pm1 Pm 0.087 0.113 0.436
Pr1 Pr 0.500 0.207 0.338
Sm1 Sm 0.085 0.614 0.650
Sm2 Sm 0.500 0.000 0.000
```

Principal peaks in the range 2θ = 10–90°, in order of rising 2θ:
25.84°, rel. 29; 28.22°, rel. 28; 30.79°, rel. 100; 32.48°, rel. 21; 32.60°, rel. 48; 32.96°, rel. 34; 33.18°, rel. 12; 39.60°, rel. 12; 59.02°, rel. 19; 62.26°, rel. 15


11.
# PmPr4Sm4
Simulated X-ray diffraction stick pattern, λ = 1.5418 Å (Cu Kα). Input: a crystal structure in Alexandria, relaxed with PBE.

Cell and atoms:
```
data_PmPr4Sm4
_chemical_formula_sum 'Pm2 Pr8 Sm8'
_cell_length_a 11.011
_cell_length_b 11.011
_cell_length_c 5.191
_cell_angle_alpha 90.00
_cell_angle_beta 90.00
_cell_angle_gamma 90.00
_space_group_name_H-M_alt 'I 4/m m m'
_space_group_IT_number 139
_space_group_name_Hall '-I 4 2'
loop_
_atom_site_label
_atom_site_type_symbol
_atom_site_fract_x
_atom_site_fract_y
_atom_site_fract_z
Pm1 Pm 0.000 0.000 0.000
Pr1 Pr 0.167 0.167 0.500
Sm1 Sm 0.000 0.335 0.000
```

Principal peaks in the range 2θ = 10–90°, in order of rising 2θ:
29.81°, rel. 100; 34.56°, rel. 51; 49.68°, rel. 36; 59.02°, rel. 43; 61.93°, rel. 12; 72.89°, rel. 6; 80.69°, rel. 18; 83.24°, rel. 16


12.
# Pm5PrSm6
Simulated X-ray diffraction stick pattern, λ = 1.5418 Å (Cu Kα). Input: a crystal structure in Alexandria, relaxed with PBE.

Cell and atoms:
```
data_Pm5PrSm6
_chemical_formula_sum 'Pm10 Pr2 Sm12'
_cell_length_a 16.277
_cell_length_b 10.301
_cell_length_c 5.155
_cell_angle_alpha 90.00
_cell_angle_beta 108.40
_cell_angle_gamma 90.00
_space_group_name_H-M_alt 'C 1 2/m 1'
_space_group_IT_number 12
loop_
_space_group_symop_operation_xyz
'x,y,z'
'-x,-y,-z'
'-x,y,-z'
'x,-y,z'
'x+1/2,y+1/2,z'
'-x+1/2,-y+1/2,-z'
'-x+1/2,y+1/2,-z'
'x+1/2,-y+1/2,z'
loop_
_atom_site_label
_atom_site_type_symbol
_atom_site_fract_x
_atom_site_fract_y
_atom_site_fract_z
Pm1 Pm 0.000 0.000 0.000
Pm2 Pm 0.167 0.000 0.667
Pm3 Pm 0.167 0.500 0.667
Pr1 Pr 0.000 0.500 0.000
Sm1 Sm 0.000 0.249 0.500
Sm2 Sm 0.167 0.249 0.167
```

Principal peaks in the range 2θ = 10–90°, in order of rising 2θ:
30.05°, rel. 100; 34.83°, rel. 51; 50.09°, rel. 36; 59.52°, rel. 43; 62.46°, rel. 12; 73.52°, rel. 4; 73.59°, rel. 2; 81.44°, rel. 18; 84.00°, rel. 10; 84.07°, rel. 7


13.
# PmPr3Sm4
Simulated X-ray diffraction stick pattern, λ = 1.5418 Å (Cu Kα). Input: a crystal structure in Alexandria, relaxed with PBE.

Cell and atoms:
```
data_PmPr3Sm4
_chemical_formula_sum 'Pm2 Pr6 Sm8'
_cell_length_a 10.369
_cell_length_b 7.324
_cell_length_c 7.322
_cell_angle_alpha 90.00
_cell_angle_beta 90.00
_cell_angle_gamma 90.00
_space_group_name_H-M_alt 'P m n a'
_space_group_IT_number 53
loop_
_space_group_symop_operation_xyz
'x,y,z'
'-x,-y,-z'
'-x+1/2,-y,z+1/2'
'x+1/2,y,-z+1/2'
'x,-y,-z'
'-x,y,z'
'-x+1/2,y,-z+1/2'
'x+1/2,-y,z+1/2'
loop_
_atom_site_label
_atom_site_type_symbol
_atom_site_fract_x
_atom_site_fract_y
_atom_site_fract_z
Pm1 Pm 0.000 0.000 0.000
Pr1 Pr 0.000 0.500 0.500
Pr2 Pr 0.250 0.249 0.250
Sm1 Sm 0.000 0.000 0.500
Sm2 Sm 0.000 0.500 0.000
Sm3 Sm 0.250 0.249 0.750
```

Principal peaks in the range 2θ = 10–90°, in order of rising 2θ:
29.87°, rel. 100; 34.63°, rel. 51; 49.79°, rel. 36; 59.15°, rel. 43; 62.06°, rel. 12; 72.99°, rel. 2; 73.10°, rel. 4; 80.88°, rel. 18; 83.44°, rel. 14; 83.50°, rel. 3